[1]
Theoretical powder X-ray diffraction pattern
Compound: Na2ErNpSe4
Radiation: Cu Kα (weighted mean of Kα1 and Kα2)
Structure: a PBE-relaxed structure
Lines closer than 0.1° are merged.

Principal peaks in the range 2θ = 10–80°, low angle first:
two_theta, Rel. int., index
12.68, 64, 0 0 1
25.07, 20, 1 1 0
30.08, 100, 1 1 1
42.67, 37, 1 1 -3
43.46, 37, 0 2 0
53.76, 19, 2 2 -2

Crystal structure
```
data_Na2ErNpSe4
_symmetry_space_group_name_H-M 'P 1 2/m 1'
_symmetry_Int_Tables_number 10
_cell_length_a 7.224
_cell_length_b 4.159
_cell_length_c 7.389
_cell_angle_alpha 90.00
_cell_angle_beta 109.11
_cell_angle_gamma 90.00
loop_
_symmetry_equiv_pos_as_xyz
'x,y,z'
'-x,-y,-z'
'-x,y,-z'
'x,-y,z'
loop_
_atom_site_label
_atom_site_type_symbol
_atom_site_fract_x
_atom_site_fract_y
_atom_site_fract_z
_atom_site_occupancy
Na1 Na 0.000 0.000 0.000 1
Na2 Na 0.500 0.500 0.000 1
Er1 Er 0.000 0.500 0.500 1
Np1 Np 0.500 0.000 0.500 1
Se1 Se 0.238 0.000 0.729 1
Se2 Se 0.252 0.500 0.270 1
```

***

[2]
Theoretical powder X-ray diffraction pattern
Compound: NaErOs2O8
Radiation: Cu Kα (weighted mean of Kα1 and Kα2)
Structure: a PBE-relaxed structure
Lines closer than 0.1° are merged.

Principal peaks in the range 2θ = 10–80°, low angle first:
two_theta, Rel. int., index
18.66, 27, 1 0 1
28.75, 100, 1 1 2
34.29, 22, 2 0 0
47.10, 30, 2 0 4
54.13, 17, 1 1 6
58.06, 28, 1 3 2

Crystal structure
```
data_NaErOs2O8
_symmetry_space_group_name_H-M 'I -4'
_symmetry_Int_Tables_number 82
_cell_length_a 5.230
_cell_length_b 5.230
_cell_length_c 11.437
_cell_angle_alpha 90.00
_cell_angle_beta 90.00
_cell_angle_gamma 90.00
loop_
_symmetry_equiv_pos_as_xyz
'x,y,z'
'y,-x,-z'
'-x,-y,z'
'-y,x,-z'
'x+1/2,y+1/2,z+1/2'
'y+1/2,-x+1/2,-z+1/2'
'-x+1/2,-y+1/2,z+1/2'
'-y+1/2,x+1/2,-z+1/2'
loop_
_atom_site_label
_atom_site_type_symbol
_atom_site_fract_x
_atom_site_fract_y
_atom_site_fract_z
_atom_site_occupancy
Na1 Na 0.000 0.000 0.000 1
Er1 Er 0.000 0.500 0.750 1
Os1 Os 0.000 0.000 0.500 1
Os2 Os 0.000 0.500 0.250 1
O1 O 0.152 0.246 0.588 1
O2 O 0.173 0.752 0.174 1
```

***

[3]
Theoretical powder X-ray diffraction pattern
Compound: Na2ErOsO6
Radiation: Cu Kα (weighted mean of Kα1 and Kα2)
Structure: a PBE-relaxed structure
Lines closer than 0.1° are merged.

Principal peaks in the range 2θ = 10–80°, low angle first:
two_theta, Rel. int., index
22.19, 100, 1 1 -1
31.32, 18, 0 2 0
31.57, 69, 1 1 -3
31.88, 16, 2 0 -2
45.26, 29, 0 0 4
51.01, 14, 2 2 -4

Crystal structure
```
data_Na2ErOsO6
_symmetry_space_group_name_H-M 'P 1 21/c 1'
_symmetry_Int_Tables_number 14
_cell_length_a 5.615
_cell_length_b 5.712
_cell_length_c 9.774
_cell_angle_alpha 90.00
_cell_angle_beta 124.82
_cell_angle_gamma 90.00
loop_
_symmetry_equiv_pos_as_xyz
'x,y,z'
'-x,-y,-z'
'-x,y+1/2,-z+1/2'
'x,-y+1/2,z+1/2'
loop_
_atom_site_label
_atom_site_type_symbol
_atom_site_fract_x
_atom_site_fract_y
_atom_site_fract_z
_atom_site_occupancy
Na1 Na 0.244 0.034 0.250 1
Er1 Er 0.500 0.000 0.000 1
Os1 Os 0.000 0.000 0.500 1
O1 O 0.140 0.227 0.957 1
O2 O 0.235 0.688 0.961 1
O3 O 0.309 0.022 0.730 1
```

***

[4]
Theoretical powder X-ray diffraction pattern
Compound: NaErP2O8
Radiation: Cu Kα (weighted mean of Kα1 and Kα2)
Structure: a PBE-relaxed structure
Lines closer than 0.1° are merged.

Principal peaks in the range 2θ = 10–80°, low angle first:
two_theta, Rel. int., index
18.01, 59, 1 1 0
19.29, 72, 1 0 1
25.58, 100, 2 0 0
32.24, 34, 2 1 1
34.48, 62, 1 1 2
51.07, 51, 3 1 2

Crystal structure
```
data_NaErP2O8
_symmetry_space_group_name_H-M 'I -4 m 2'
_symmetry_Int_Tables_number 119
_symmetry_space_group_name_Hall 'I -4 -2'
_cell_length_a 6.965
_cell_length_b 6.965
_cell_length_c 6.127
_cell_angle_alpha 90.00
_cell_angle_beta 90.00
_cell_angle_gamma 90.00
loop_
_atom_site_label
_atom_site_type_symbol
_atom_site_fract_x
_atom_site_fract_y
_atom_site_fract_z
_atom_site_occupancy
Na1 Na 0.000 0.000 0.000 1
Er1 Er 0.000 0.500 0.250 1
P1 P 0.000 0.000 0.500 1
P2 P 0.000 0.500 0.750 1
O1 O 0.000 0.181 0.353 1
O2 O 0.000 0.326 0.908 1
```